Diffraction record for Li2VCrP2H2O10. The X-ray diffraction stick pattern is computed, not measured: it uses a crystal structure in Alexandria, relaxed with PBE+U and Cu Ka.

Atomic structure:
Cell lengths 5.160, 7.374, 15.164 Å; angles 94.15, 91.95, 108.75 degrees
Fractional positions:
Li (0.056, 0.472, 0.298)
Li (0.281, 0.861, 0.035)
Li (0.386, 0.806, 0.631)
Li (0.614, 0.194, 0.369)
Li (0.719, 0.139, 0.965)
Li (0.944, 0.528, 0.702)
V (0.000, 0.500, 0.500)
V (0.332, 0.332, 0.834)
V (0.668, 0.668, 0.166)
Cr (0.000, 0.000, 0.500)
Cr (0.333, 0.833, 0.833)
Cr (0.667, 0.167, 0.167)
P (0.113, 0.058, 0.287)
P (0.221, 0.276, 0.048)
P (0.441, 0.387, 0.620)
P (0.559, 0.613, 0.380)
P (0.779, 0.724, 0.952)
P (0.887, 0.942, 0.713)
H (0.008, 0.485, 0.146)
H (0.326, 0.850, 0.188)
H (0.340, 0.824, 0.479)
H (0.660, 0.176, 0.521)
H (0.674, 0.150, 0.812)
H (0.992, 0.515, 0.854)
O (0.014, 0.857, 0.236)
O (0.050, 0.849, 0.916)
O (0.106, 0.837, 0.721)
O (0.142, 0.286, 0.949)
O (0.155, 0.542, 0.819)
O (0.178, 0.795, 0.515)
O (0.193, 0.050, 0.386)
O (0.225, 0.495, 0.614)
O (0.288, 0.489, 0.416)
O (0.322, 0.478, 0.098)
O (0.338, 0.187, 0.568)
O (0.384, 0.183, 0.250)
O (0.440, 0.171, 0.054)
O (0.480, 0.625, 0.281)
O (0.490, 0.877, 0.152)
O (0.510, 0.123, 0.848)
O (0.520, 0.375, 0.719)
O (0.560, 0.829, 0.946)
O (0.616, 0.817, 0.750)
O (0.662, 0.813, 0.432)
O (0.678, 0.522, 0.902)
O (0.712, 0.511, 0.584)
O (0.775, 0.505, 0.386)
O (0.807, 0.950, 0.614)
O (0.822, 0.205, 0.485)
O (0.845, 0.458, 0.181)
O (0.858, 0.714, 0.051)
O (0.894, 0.163, 0.279)
O (0.950, 0.151, 0.084)
O (0.986, 0.143, 0.764)

Top 10 peaks for 10° ≤ 2θ ≤ 90°, by angle:
17.62°, intensity 358, hkl 0 0 3
18.52°, intensity 371, hkl 1 -1 0
18.78°, intensity 443, hkl 1 0 -1
22.29°, intensity 262, hkl 1 0 2
25.66°, intensity 352, hkl 1 -1 3
25.85°, intensity 294, hkl 0 1 -4
26.63°, intensity 993, hkl 1 -2 1
26.81°, intensity 1000, hkl 0 2 1
29.02°, intensity 864, hkl 1 0 -4
35.92°, intensity 379, hkl 1 0 5